Structure and simulated powder diffraction line list of RbTl3As2Au2 (DFT lattice parameters and positions (GGA-PBE); Cu Ka).

Crystal structure
Cell lengths 6.1571, 6.2834, 6.3291 Å; angles 90.00, 108.75, 90.00 degrees
Atoms (fractional coordinates):
Rb  0.0000  0.0000  0.0000
Tl  0.0270  0.5000  0.3353
Tl  0.3526  0.0000  0.6488
Tl  0.6639  0.5000  0.6471
As  0.2703  0.5000  0.8673
As  0.7679  0.0000  0.4410
Au  0.5365  0.2513  0.1448
Au  0.5365  0.7487  0.1448

Principal peaks in the range 2θ from 15° to 90°, sorted by position:
15.2 deg, 5.830 Å, rel. 31, (1 0 0); 28.4 deg, 3.145 Å, rel. 55, (1 1 1); 28.8 deg, 3.101 Å, rel. 31, (1 0 -2); 29.5 deg, 3.033 Å, rel. 33, (2 0 -1); 32.2 deg, 2.782 Å, rel. 100, (1 1 -2); 32.4 deg, 2.766 Å, rel. 20, (1 2 0); 32.8 deg, 2.731 Å, rel. 52, (2 1 -1); 33.6 deg, 2.671 Å, rel. 33, (1 2 -1); 33.9 deg, 2.644 Å, rel. 16, (2 1 0); 37.9 deg, 2.376 Å, rel. 74, (1 2 1); 54.4 deg, 1.686 Å, rel. 21, (0 2 3); 55.6 deg, 1.652 Å, rel. 30, (3 2 0)

---

Structure and simulated powder diffraction line list of AsAuSe2 (DFT lattice parameters and positions (GGA-PBE); Cu Ka).

Crystal structure
Cell lengths 12.8764, 5.5319, 5.5160 Å; angles 90.00, 114.64, 90.00 degrees
Atoms (fractional coordinates):
As  0.0000  0.2332  0.0000
As  0.0000  0.7668  0.5000
As  0.5000  0.2668  0.5000
As  0.5000  0.7332  0.0000
Au  0.2468  0.2457  0.7479
Au  0.2468  0.7543  0.2479
Au  0.7468  0.2543  0.2479
Au  0.7468  0.7457  0.7479
Se  0.0217  0.2314  0.5248
Se  0.0217  0.7686  0.0248
Se  0.2943  0.2561  0.2966
Se  0.2943  0.7439  0.7966
Se  0.5217  0.2686  0.0248
Se  0.5217  0.7314  0.5248
Se  0.7943  0.2439  0.7966
Se  0.7943  0.7561  0.2966

Principal peaks in the range 2θ from 15° to 90°, sorted by position:
15.1 deg, 5.852 Å, rel. 19, (2 0 0); 22.8 deg, 3.906 Å, rel. 18, (1 1 -1); 27.3 deg, 3.262 Å, rel. 18, (1 1 1); 27.6 deg, 3.235 Å, rel. 17, (3 1 -1); 30.6 deg, 2.926 Å, rel. 48, (4 0 0); 32.4 deg, 2.762 Å, rel. 100, (2 0 -2); 44.9 deg, 2.020 Å, rel. 16, (2 0 2); 45.1 deg, 2.010 Å, rel. 32, (4 2 0); 45.5 deg, 1.994 Å, rel. 16, (6 0 -2); 46.5 deg, 1.953 Å, rel. 37, (2 2 -2); 56.4 deg, 1.631 Å, rel. 16, (2 2 2); 56.9 deg, 1.618 Å, rel. 16, (6 2 -2)

---

Structure and simulated powder diffraction line list of As2WAu (DFT lattice parameters and positions (GGA-PBE); Cu Ka).

Crystal structure
Cell lengths 6.5400, 6.5400, 6.5400 Å; angles 90.00, 90.00, 90.00 degrees
Atoms (fractional coordinates):
As  0.0000  0.0000  0.0000
As  0.0000  0.5000  0.5000
As  0.2500  0.2500  0.2500
As  0.2500  0.7500  0.7500
As  0.5000  0.0000  0.5000
As  0.5000  0.5000  0.0000
As  0.7500  0.2500  0.7500
As  0.7500  0.7500  0.2500
W  0.0000  0.0000  0.5000
W  0.0000  0.5000  0.0000
W  0.5000  0.0000  0.0000
W  0.5000  0.5000  0.5000
Au  0.2500  0.2500  0.7500
Au  0.2500  0.7500  0.2500
Au  0.7500  0.2500  0.2500
Au  0.7500  0.7500  0.7500

Principal peaks in the range 2θ from 15° to 90°, sorted by position:
23.6 deg, 3.776 Å, rel. 21, (1 1 1); 39.0 deg, 2.312 Å, rel. 100, (2 2 0); 46.0 deg, 1.972 Å, rel. 11, (3 1 1); 56.3 deg, 1.635 Å, rel. 17, (4 0 0); 61.8 deg, 1.500 Å, rel. 5, (3 3 1); 70.5 deg, 1.335 Å, rel. 35, (4 2 2); 75.5 deg, 1.259 Å, rel. 4, (5 1 1); 83.6 deg, 1.156 Å, rel. 11, (4 4 0); 88.4 deg, 1.105 Å, rel. 4, (5 3 1)